(1)
Starting from a DFT-relaxed cell (GGA-PBE, the Materials Project), the powder diffraction line list of K2MnSe2 was simulated for Cu Kα, 1.54184 Å.

Main lines, by intensity (2θ = 10–90°):
| 2theta | d/Å | I/Imax |
| --- | --- | --- |
| 38.47 | 2.340 | 100 |
| 14.05 | 6.302 | 97 |
| 29.21 | 3.057 | 86 |
| 37.16 | 2.420 | 76 |
| 22.71 | 3.916 | 64 |
| 27.13 | 3.287 | 64 |
| 36.87 | 2.438 | 63 |
| 13.28 | 6.667 | 58 |
| 34.98 | 2.565 | 54 |
| 32.62 | 2.745 | 53 |

Cell and atoms:
abc: 8.2481 8.2481 8.2481
angles: 128.62 72.14 133.03
Atoms (fractional coordinates):
K 0.1454 0.1665 0.3119
K 0.3546 0.6665 0.0211
K 0.6454 0.3335 0.9789
K 0.8546 0.8335 0.6881
Mn 0.2500 0.7500 0.5000
Mn 0.7500 0.2500 0.5000
Se 0.1047 0.6951 0.7998
Se 0.3953 0.1951 0.5904
Se 0.6047 0.8049 0.4096
Se 0.8953 0.3049 0.2002

***

(2)
Starting from a DFT-relaxed cell (GGA-PBE, the Materials Project), the powder diffraction line list of K6MnSe4 was simulated for Cu Kα, 1.54184 Å.

Main lines, by intensity (2θ = 10–90°):
| 2theta | d/Å | I/Imax |
| --- | --- | --- |
| 34.82 | 2.577 | 100 |
| 29.87 | 2.992 | 75 |
| 28.67 | 3.113 | 54 |
| 32.05 | 2.792 | 41 |
| 22.77 | 3.906 | 30 |
| 39.13 | 2.302 | 30 |
| 14.81 | 5.983 | 29 |
| 56.49 | 1.629 | 23 |
| 19.88 | 4.465 | 22 |
| 34.67 | 2.588 | 20 |

Cell and atoms:
abc: 10.3123 10.3123 8.0591
angles: 90.00 90.00 120.00
Atoms (fractional coordinates):
K 0.0581 0.5291 0.0000
K 0.1465 0.2929 0.6751
K 0.1465 0.8535 0.6751
K 0.2929 0.1465 0.1751
K 0.4709 0.5291 0.0000
K 0.4709 0.9419 0.0000
K 0.5291 0.0581 0.5000
K 0.5291 0.4709 0.5000
K 0.7071 0.8535 0.6751
K 0.8535 0.1465 0.1751
K 0.8535 0.7071 0.1751
K 0.9419 0.4709 0.5000
Mn 0.3333 0.6667 0.3856
Mn 0.6667 0.3333 0.8856
Se 0.1956 0.3911 0.2856
Se 0.1956 0.8044 0.2856
Se 0.3333 0.6667 0.7065
Se 0.3911 0.1956 0.7856
Se 0.6089 0.8044 0.2856
Se 0.6667 0.3333 0.2065
Se 0.8044 0.1956 0.7856
Se 0.8044 0.6089 0.7856

***

(3)
Starting from a DFT-relaxed cell (GGA-PBE, the Materials Project), the powder diffraction line list of K2MnSn2Se6 was simulated for Cu Kα, 1.54184 Å.

Main lines, by intensity (2θ = 10–90°):
| 2theta | d/Å | I/Imax |
| --- | --- | --- |
| 27.20 | 3.279 | 100 |
| 14.86 | 5.960 | 90 |
| 34.36 | 2.610 | 71 |
| 43.52 | 2.079 | 49 |
| 29.99 | 2.980 | 36 |
| 51.34 | 1.780 | 24 |
| 45.67 | 1.987 | 22 |
| 47.60 | 1.910 | 21 |
| 48.29 | 1.885 | 20 |
| 46.47 | 1.954 | 20 |

Cell and atoms:
abc: 8.4286 8.4286 19.9442
angles: 90.00 90.00 90.00
Atoms (fractional coordinates):
K 0.2500 0.2500 0.0259
K 0.2500 0.2500 0.3211
K 0.2500 0.2500 0.5259
K 0.2500 0.2500 0.8211
K 0.7500 0.7500 0.1789
K 0.7500 0.7500 0.4741
K 0.7500 0.7500 0.6789
K 0.7500 0.7500 0.9741
Mn 0.2500 0.7500 0.0000
Mn 0.2500 0.7500 0.5000
Mn 0.7500 0.2500 0.0000
Mn 0.7500 0.2500 0.5000
Sn 0.2500 0.7500 0.1617
Sn 0.2500 0.7500 0.3383
Sn 0.2500 0.7500 0.6617
Sn 0.2500 0.7500 0.8383
Sn 0.7500 0.2500 0.1617
Sn 0.7500 0.2500 0.3383
Sn 0.7500 0.2500 0.6617
Sn 0.7500 0.2500 0.8383
Se 0.0725 0.5946 0.0824
Se 0.0725 0.9054 0.5824
Se 0.0872 0.5872 0.7500
Se 0.0872 0.9128 0.2500
Se 0.0946 0.5725 0.4176
Se 0.0946 0.9275 0.9176
Se 0.4054 0.5725 0.9176
Se 0.4054 0.9275 0.4176
Se 0.4128 0.5872 0.2500
Se 0.4128 0.9128 0.7500
Se 0.4275 0.5946 0.5824
Se 0.4275 0.9054 0.0824
Se 0.5725 0.0946 0.9176
Se 0.5725 0.4054 0.4176
Se 0.5872 0.0872 0.2500
Se 0.5872 0.4128 0.7500
Se 0.5946 0.0725 0.5824
Se 0.5946 0.4275 0.0824
Se 0.9054 0.0725 0.0824
Se 0.9054 0.4275 0.5824
Se 0.9128 0.0872 0.7500
Se 0.9128 0.4128 0.2500
Se 0.9275 0.0946 0.4176
Se 0.9275 0.4054 0.9176

***

(4)
Starting from a DFT-relaxed cell (GGA-PBE, the Materials Project), the powder diffraction line list of K6MnTe4 was simulated for Cu Kα, 1.54184 Å.

Main lines, by intensity (2θ = 10–90°):
| 2theta | d/Å | I/Imax |
| --- | --- | --- |
| 32.54 | 2.752 | 100 |
| 28.11 | 3.175 | 76 |
| 21.36 | 4.159 | 76 |
| 30.02 | 2.977 | 44 |
| 26.87 | 3.318 | 40 |
| 36.87 | 2.438 | 37 |
| 18.61 | 4.767 | 34 |
| 20.87 | 4.256 | 33 |
| 13.95 | 6.349 | 29 |
| 38.97 | 2.311 | 23 |

Cell and atoms:
abc: 11.0085 11.0085 8.5113
angles: 90.00 90.00 120.00
Atoms (fractional coordinates):
K 0.0520 0.5260 0.0000
K 0.1477 0.2954 0.6805
K 0.1477 0.8523 0.6805
K 0.2954 0.1477 0.1805
K 0.4740 0.5260 0.0000
K 0.4740 0.9480 0.0000
K 0.5260 0.0520 0.5000
K 0.5260 0.4740 0.5000
K 0.7046 0.8523 0.6805
K 0.8523 0.1477 0.1805
K 0.8523 0.7046 0.1805
K 0.9480 0.4740 0.5000
Mn 0.3333 0.6667 0.3852
Mn 0.6667 0.3333 0.8852
Te 0.1947 0.3894 0.2838
Te 0.1947 0.8053 0.2838
Te 0.3333 0.6667 0.7122
Te 0.3894 0.1947 0.7838
Te 0.6106 0.8053 0.2838
Te 0.6667 0.3333 0.2122
Te 0.8053 0.1947 0.7838
Te 0.8053 0.6106 0.7838

***

(5)
Starting from a DFT-relaxed cell (GGA-PBE, the Materials Project), the powder diffraction line list of K3Mo was simulated for Cu Kα, 1.54184 Å.

Main lines, by intensity (2θ = 10–90°):
| 2theta | d/Å | I/Imax |
| --- | --- | --- |
| 26.23 | 3.397 | 100 |
| 30.38 | 2.942 | 50 |
| 51.51 | 1.774 | 41 |
| 43.50 | 2.080 | 35 |
| 15.06 | 5.884 | 17 |
| 21.36 | 4.160 | 16 |
| 69.66 | 1.350 | 15 |
| 71.74 | 1.316 | 14 |
| 85.82 | 1.132 | 12 |
| 53.99 | 1.698 | 12 |

Cell and atoms:
abc: 5.8838 5.8838 5.8838
angles: 90.00 90.00 90.00
Atoms (fractional coordinates):
K 0.0000 0.0000 0.5000
K 0.0000 0.5000 0.0000
K 0.5000 0.0000 0.0000
Mo 0.5000 0.5000 0.5000

***

(6)
Starting from a DFT-relaxed cell (GGA-PBE, the Materials Project), the powder diffraction line list of K3Mo was simulated for Cu Kα, 1.54184 Å.

Main lines, by intensity (2θ = 10–90°):
| 2theta | d/Å | I/Imax |
| --- | --- | --- |
| 27.28 | 3.270 | 100 |
| 48.21 | 1.888 | 37 |
| 38.96 | 2.312 | 18 |
| 77.19 | 1.236 | 17 |
| 63.64 | 1.462 | 15 |
| 16.60 | 5.339 | 14 |
| 56.27 | 1.635 | 11 |
| 32.10 | 2.788 | 9 |
| 19.20 | 4.624 | 7 |
| 42.61 | 2.122 | 4 |

Cell and atoms:
abc: 6.5391 6.5391 6.5391
angles: 60.00 60.00 60.00
Atoms (fractional coordinates):
K 0.0000 0.0000 0.0000
K 0.2500 0.2500 0.2500
K 0.7500 0.7500 0.7500
Mo 0.5000 0.5000 0.5000

***

(7)
Starting from a DFT-relaxed cell (GGA-PBE, the Materials Project), the powder diffraction line list of K3Mo was simulated for Cu Kα, 1.54184 Å.

Main lines, by intensity (2θ = 10–90°):
| 2theta | d/Å | I/Imax |
| --- | --- | --- |
| 26.70 | 3.339 | 100 |
| 29.58 | 3.020 | 38 |
| 50.74 | 1.799 | 30 |
| 45.26 | 2.004 | 21 |
| 16.85 | 5.261 | 19 |
| 33.47 | 2.677 | 13 |
| 42.32 | 2.136 | 13 |
| 55.00 | 1.670 | 11 |
| 55.82 | 1.647 | 11 |
| 72.47 | 1.304 | 10 |

Cell and atoms:
abc: 6.8498 6.8498 6.8498
angles: 127.67 127.67 77.16
Atoms (fractional coordinates):
K 0.0000 0.0000 0.0000
K 0.2500 0.7500 0.5000
K 0.7500 0.2500 0.5000
Mo 0.5000 0.5000 0.0000